Theoretical X-ray powder pattern
Compound: LaTb10Pm4
Radiation: Cu Kα, 1.54184 Å
Structure: a GGA-PBE-relaxed structure

Atomic structure:
```
LaTb10Pm4
1.0
-4.937 4.937 5.445
4.937 -4.937 5.445
4.937 4.937 -5.445
La Tb Pm
1 10 4
direct
0.000 0.000 0.000
0.047 0.951 0.659
0.049 0.708 0.096
0.250 0.750 0.500
0.292 0.388 0.341
0.388 0.047 0.096
0.612 0.953 0.904
0.708 0.612 0.659
0.750 0.250 0.500
0.951 0.292 0.904
0.953 0.049 0.341
0.213 0.553 0.766
0.447 0.213 0.660
0.553 0.787 0.340
0.787 0.447 0.234
```

Main lines, by angle (2θ from 15° to 90°):
2θ (°)	I_rel
26.2	30.1
28.3	20.3
28.6	81.1
31.9	100.0
33.1	47.8
40.9	28.2
41.3	25.2
58.9	20.1